Computed X-ray powder pattern
Compound: Li15Bi4Pd2O20
Radiation: Cu Kα (λ = 1.5418 Å)
Structure: a PBE-relaxed structure
Peak positions follow from Bragg's law for the DFT cell and can differ from measured ones.

Structural model:
a b c (Å): 5.4034 8.1218 11.2164
angles (deg): 92.62 103.55 104.36
Positions (direct):
Li 0.0000 0.0000 0.0000
Li 0.0027 0.0883 0.2602
Li 0.0305 0.9016 0.7008
Li 0.4406 0.9710 0.3452
Li 0.4471 0.1478 0.8894
Li 0.4645 0.3146 0.4193
Li 0.4947 0.2333 0.1934
Li 0.5028 0.5009 0.9991
Li 0.5080 0.3904 0.7002
Li 0.5147 0.5834 0.2640
Li 0.9497 0.6493 0.8916
Li 0.9545 0.4629 0.3442
Li 0.9652 0.5433 0.5967
Li 0.9730 0.8248 0.4174
Li 0.9956 0.7336 0.1918
Bi 0.4826 0.6860 0.5222
Bi 0.4850 0.8660 0.0812
Bi 0.9802 0.1772 0.5212
Bi 0.9834 0.3672 0.0802
Pd 0.4808 0.7682 0.8021
Pd 0.9799 0.2791 0.8003
O 0.1960 0.2548 0.9652
O 0.1997 0.1734 0.7145
O 0.2128 0.0804 0.4299
O 0.2297 0.7146 0.3585
O 0.2314 0.6092 0.0558
O 0.2330 0.3406 0.2440
O 0.2365 0.4341 0.5356
O 0.2403 0.9742 0.1589
O 0.2507 0.7689 0.6385
O 0.2591 0.8777 0.8913
O 0.7059 0.6681 0.7126
O 0.7055 0.7576 0.9678
O 0.7144 0.5680 0.4410
O 0.7241 0.2088 0.3582
O 0.7334 0.1096 0.0590
O 0.7336 0.8354 0.2438
O 0.7406 0.4739 0.1603
O 0.7529 0.3808 0.8921
O 0.7818 0.9184 0.5342
O 0.7843 0.3091 0.6361

Main lines, sorted by position (2θ = 10–90°):
- 2θ = 16.4°, I 40
- 2θ = 18.2°, I 76
- 2θ = 22.7°, I 42
- 2θ = 23.3°, I 100
- 2θ = 28.0°, I 30
- 2θ = 40.8°, I 53
- 2θ = 42.2°, I 42
- 2θ = 60.1°, I 32

***

Computed X-ray powder pattern
Compound: NbSe2Br2
Radiation: Cu Kα (λ = 1.5418 Å)
Structure: a PBE-relaxed structure
Peak positions follow from Bragg's law for the DFT cell and can differ from measured ones.

Structural model:
a b c (Å): 6.8183 6.8291 7.9212
angles (deg): 68.45 68.55 60.09
Positions (direct):
Nb 0.1254 0.2479 0.0002
Nb 0.8746 0.7521 0.9998
Se 0.0768 0.5870 0.6936
Se 0.2547 0.4639 0.1250
Se 0.7453 0.5361 0.8750
Se 0.9232 0.4130 0.3064
Br 0.1601 0.9778 0.7856
Br 0.4242 0.8563 0.2151
Br 0.5758 0.1437 0.7849
Br 0.8399 0.0222 0.2144

Main lines, sorted by position (2θ = 10–90°):
- 2θ = 12.3°, I 100
- 2θ = 15.4°, I 27
- 2θ = 29.0°, I 38
- 2θ = 29.8°, I 46
- 2θ = 36.2°, I 31
- 2θ = 36.3°, I 23
- 2θ = 37.7°, I 15
- 2θ = 48.0°, I 20